1.
Computed X-ray powder pattern of Ce4Ge2Te5 for λ = 1.5418 Å (Cu Kα), from a structure optimized by DFT (PBE).
Peak positions follow from Bragg's law for the DFT cell and can differ from measured ones.

Structural model:
Cell: 10.825 10.825 10.825 Å, 156.35 135.08 51.38°
Positions (direct):
Ce  0.209  0.209  0.000
Ce  0.234  0.500  0.734
Ce  0.766  0.500  0.266
Ce  0.791  0.791  0.000
Ge  0.060  0.060  0.000
Ge  0.940  0.940  0.000
Te  0.093  0.336  0.757
Te  0.421  0.664  0.757
Te  0.500  0.000  0.500
Te  0.579  0.336  0.243
Te  0.907  0.664  0.243

Main lines, most intense first (15° ≤ 2θ ≤ 90°):
29.9 deg, d = 2.989 Å, rel. 100
37.6 deg, d = 2.391 Å, rel. 49
43.8 deg, d = 2.068 Å, rel. 29
27.4 deg, d = 3.252 Å, rel. 26
38.1 deg, d = 2.360 Å, rel. 26
40.7 deg, d = 2.218 Å, rel. 26
35.1 deg, d = 2.556 Å, rel. 24
61.3 deg, d = 1.513 Å, rel. 22
24.5 deg, d = 3.629 Å, rel. 19
54.8 deg, d = 1.675 Å, rel. 13

---

2.
Computed X-ray powder pattern of Ce2Th2Ge for λ = 1.5418 Å (Cu Kα), from a structure optimized by DFT (PBE).
Peak positions follow from Bragg's law for the DFT cell and can differ from measured ones.

Structural model:
Cell: 8.768 8.768 8.768 Å, 151.11 151.11 41.31°
Positions (direct):
Ce  0.082  0.082  0.000
Ce  0.918  0.918  0.000
Th  0.250  0.750  0.500
Th  0.750  0.250  0.500
Ge  0.500  0.500  0.000

Main lines, most intense first (15° ≤ 2θ ≤ 90°):
30.9 deg, d = 2.894 Å, rel. 100
36.4 deg, d = 2.470 Å, rel. 37
53.6 deg, d = 1.709 Å, rel. 34
41.3 deg, d = 2.187 Å, rel. 33
68.8 deg, d = 1.364 Å, rel. 21
21.7 deg, d = 4.102 Å, rel. 21
32.7 deg, d = 2.735 Å, rel. 20
34.2 deg, d = 2.625 Å, rel. 17
21.0 deg, d = 4.227 Å, rel. 17
64.3 deg, d = 1.450 Å, rel. 12

---

3.
Computed X-ray powder pattern of Ce2Th2ZnGe4 for λ = 1.5418 Å (Cu Kα), from a structure optimized by DFT (PBE).
Peak positions follow from Bragg's law for the DFT cell and can differ from measured ones.

Structural model:
Cell: 6.587 6.587 6.587 Å, 114.67 114.67 99.50°
Positions (direct):
Ce  0.175  0.175  0.000
Ce  0.825  0.825  0.000
Th  0.250  0.750  0.500
Th  0.750  0.250  0.500
Zn  0.500  0.500  0.000
Ge  0.258  0.258  0.516
Ge  0.258  0.742  0.000
Ge  0.742  0.258  0.000
Ge  0.742  0.742  0.484

Main lines, most intense first (15° ≤ 2θ ≤ 90°):
32.8 deg, d = 2.728 Å, rel. 100
35.7 deg, d = 2.514 Å, rel. 68
25.0 deg, d = 3.555 Å, rel. 34
62.3 deg, d = 1.489 Å, rel. 32
27.5 deg, d = 3.248 Å, rel. 28
51.4 deg, d = 1.777 Å, rel. 24
68.8 deg, d = 1.365 Å, rel. 19
34.0 deg, d = 2.635 Å, rel. 17
56.7 deg, d = 1.624 Å, rel. 16
42.7 deg, d = 2.117 Å, rel. 15

---

4.
Computed X-ray powder pattern of CeTiGe3 for λ = 1.5418 Å (Cu Kα), from a structure optimized by DFT (PBE).
Peak positions follow from Bragg's law for the DFT cell and can differ from measured ones.

Structural model:
Cell: 6.257 6.257 5.822 Å, 90.00 90.00 120.00°
Positions (direct):
Ce  0.333  0.667  0.250
Ce  0.667  0.333  0.750
Ti  0.000  0.000  0.000
Ti  0.000  0.000  0.500
Ge  0.197  0.395  0.750
Ge  0.197  0.803  0.750
Ge  0.395  0.197  0.250
Ge  0.605  0.803  0.750
Ge  0.803  0.197  0.250
Ge  0.803  0.605  0.250

Main lines, most intense first (15° ≤ 2θ ≤ 90°):
36.6 deg, d = 2.457 Å, rel. 100
30.7 deg, d = 2.911 Å, rel. 33
45.7 deg, d = 1.983 Å, rel. 30
58.5 deg, d = 1.578 Å, rel. 25
35.0 deg, d = 2.565 Å, rel. 22
28.5 deg, d = 3.129 Å, rel. 22
47.0 deg, d = 1.932 Å, rel. 16
59.0 deg, d = 1.564 Å, rel. 15
64.0 deg, d = 1.455 Å, rel. 12
33.1 deg, d = 2.710 Å, rel. 12

---

5.
Computed X-ray powder pattern of Ce2TiGe for λ = 1.5418 Å (Cu Kα), from a structure optimized by DFT (PBE).
Peak positions follow from Bragg's law for the DFT cell and can differ from measured ones.

Structural model:
Cell: 4.246 4.246 4.670 Å, 90.00 90.00 90.00°
Positions (direct):
Ce  0.000  0.500  0.000
Ce  0.500  0.000  0.000
Ti  0.000  0.000  0.500
Ge  0.500  0.500  0.500

Main lines, most intense first (15° ≤ 2θ ≤ 90°):
35.5 deg, d = 2.525 Å, rel. 100
42.6 deg, d = 2.123 Å, rel. 30
73.4 deg, d = 1.290 Å, rel. 23
58.8 deg, d = 1.571 Å, rel. 23
38.6 deg, d = 2.335 Å, rel. 20
19.0 deg, d = 4.670 Å, rel. 18
67.8 deg, d = 1.382 Å, rel. 15
29.8 deg, d = 3.002 Å, rel. 12
75.3 deg, d = 1.263 Å, rel. 11
61.8 deg, d = 1.501 Å, rel. 10

---

6.
Computed X-ray powder pattern of Ce12TlGe6 for λ = 1.5418 Å (Cu Kα), from a structure optimized by DFT (PBE).
Peak positions follow from Bragg's law for the DFT cell and can differ from measured ones.

Structural model:
Cell: 8.608 8.608 8.608 Å, 110.43 110.43 110.43°
Positions (direct):
Ce  0.006  0.162  0.317
Ce  0.162  0.317  0.006
Ce  0.237  0.708  0.618
Ce  0.292  0.382  0.763
Ce  0.317  0.006  0.162
Ce  0.382  0.763  0.292
Ce  0.618  0.237  0.708
Ce  0.683  0.994  0.838
Ce  0.708  0.618  0.237
Ce  0.763  0.292  0.382
Ce  0.838  0.683  0.994
Ce  0.994  0.838  0.683
Tl  0.500  0.500  0.500
Ge  0.061  0.568  0.835
Ge  0.165  0.939  0.432
Ge  0.432  0.165  0.939
Ge  0.568  0.835  0.061
Ge  0.835  0.061  0.568
Ge  0.939  0.432  0.165

Main lines, most intense first (15° ≤ 2θ ≤ 90°):
33.7 deg, d = 2.657 Å, rel. 100
38.9 deg, d = 2.317 Å, rel. 67
32.8 deg, d = 2.730 Å, rel. 46
55.5 deg, d = 1.655 Å, rel. 21
28.4 deg, d = 3.137 Å, rel. 19
22.1 deg, d = 4.030 Å, rel. 16
66.0 deg, d = 1.415 Å, rel. 12
67.1 deg, d = 1.394 Å, rel. 12
33.5 deg, d = 2.672 Å, rel. 12
56.8 deg, d = 1.622 Å, rel. 11